Computed XRD peak list
Compound: NaNdMgWO6
Radiation: Cu Kα
Structure: a cell relaxed with PBE+U

Top 10 peaks for 10 to 90 degrees two-theta, by angle:
index, d (Å), 2theta, I (rel.)
0 0 1, 7.959, 11.1, 26
0 1 1, 4.581, 19.4, 31
1 0 -1, 4.537, 19.6, 30
1 1 1, 3.525, 25.3, 25
1 1 -2, 2.798, 32.0, 100
2 0 0, 2.760, 32.4, 19
2 1 1, 2.363, 38.1, 11
0 0 4, 1.990, 45.6, 12
2 2 0, 1.966, 46.2, 22
2 0 -4, 1.616, 57.0, 19

a b c (Å): 5.521 5.602 7.959
angles (deg): 90.00 90.17 90.00
Element x y z (fractional)
Na 0.247 0.000 0.001
Na 0.753 0.500 0.999
Nd 0.259 0.929 0.501
Nd 0.741 0.429 0.499
Mg 0.250 0.472 0.758
Mg 0.750 0.972 0.242
W 0.243 0.477 0.237
W 0.757 0.977 0.763
O 0.041 0.786 0.776
O 0.063 0.769 0.220
O 0.166 0.498 0.494
O 0.325 0.452 0.011
O 0.454 0.205 0.305
O 0.475 0.184 0.695
O 0.525 0.684 0.305
O 0.546 0.705 0.695
O 0.675 0.952 0.989
O 0.834 0.998 0.506
O 0.937 0.269 0.780
O 0.959 0.286 0.224